(1)
This entry pairs a crystal structure of KCuBr4 with its computed X-ray diffraction stick pattern. Radiation: CuKα. Structure: a crystal structure in Alexandria, relaxed with GGA-PBE.
No peak broadening, texture or thermal motion is included.

Structure:
a = 7.125 Å, b = 7.125 Å, c = 4.032 Å
α = 90.00°, β = 90.00°, γ = 92.04°
Sites, in units of the cell vectors:
K 0.000 0.000 0.000
Cu 0.500 0.500 0.500
Br 0.253 0.253 0.500
Br 0.332 0.668 0.000
Br 0.668 0.332 0.000
Br 0.747 0.747 0.500

Most intense lines, 5 to 70 degrees two-theta, by intensity:
- 28.6°, rel. 1000
- 12.4°, rel. 961
- 35.6°, rel. 939
- 28.2°, rel. 880
- 17.3°, rel. 693
- 36.3°, rel. 556
- 44.3°, rel. 446
- 46.6°, rel. 432
- 25.0°, rel. 296
- 45.0°, rel. 296

=====

(2)
This entry pairs a crystal structure of CePr6Ho5 with its computed X-ray diffraction stick pattern. Radiation: CuKα. Structure: a crystal structure in Alexandria, relaxed with GGA-PBE.
No peak broadening, texture or thermal motion is included.

Structure:
a = 9.573 Å, b = 9.573 Å, c = 9.573 Å
α = 148.74°, β = 115.92°, γ = 73.02°
Sites, in units of the cell vectors:
Ce 0.000 0.000 0.000
Pr 0.085 0.835 0.250
Pr 0.249 0.500 0.749
Pr 0.415 0.165 0.250
Pr 0.585 0.835 0.750
Pr 0.751 0.500 0.251
Pr 0.915 0.165 0.750
Ho 0.166 0.666 0.500
Ho 0.332 0.332 0.000
Ho 0.500 0.000 0.500
Ho 0.668 0.668 0.000
Ho 0.834 0.334 0.500

Most intense lines, 5 to 70 degrees two-theta, by intensity:
- 30.2°, rel. 1000
- 34.8°, rel. 172
- 35.0°, rel. 169
- 35.3°, rel. 165
- 59.6°, rel. 146
- 59.8°, rel. 144
- 60.3°, rel. 141
- 62.9°, rel. 124
- 50.2°, rel. 122
- 50.4°, rel. 121

=====

(3)
This entry pairs a crystal structure of LaErTe2O with its computed X-ray diffraction stick pattern. Radiation: CuKα. Structure: a crystal structure in Alexandria, relaxed with GGA-PBE.
No peak broadening, texture or thermal motion is included.

Structure:
a = 4.253 Å, b = 4.253 Å, c = 15.641 Å
α = 90.00°, β = 90.00°, γ = 90.00°
Sites, in units of the cell vectors:
La 0.250 0.250 0.074
La 0.750 0.750 0.926
Er 0.250 0.250 0.625
Er 0.750 0.750 0.375
Te 0.250 0.250 0.414
Te 0.250 0.250 0.806
Te 0.750 0.750 0.194
Te 0.750 0.750 0.586
O 0.250 0.750 0.000
O 0.750 0.250 0.000

Most intense lines, 5 to 70 degrees two-theta, by intensity:
- 29.7°, rel. 1000
- 42.5°, rel. 424
- 27.1°, rel. 371
- 35.6°, rel. 368
- 37.7°, rel. 266
- 69.9°, rel. 197
- 56.6°, rel. 193
- 22.7°, rel. 186
- 61.7°, rel. 182
- 21.7°, rel. 180

=====

(4)
This entry pairs a crystal structure of BaTbZnIn with its computed X-ray diffraction stick pattern. Radiation: CuKα. Structure: a crystal structure in Alexandria, relaxed with GGA-PBE.
No peak broadening, texture or thermal motion is included.

Structure:
a = 5.590 Å, b = 5.590 Å, c = 5.590 Å
α = 60.00°, β = 60.00°, γ = 60.00°
Sites, in units of the cell vectors:
Ba 0.000 0.000 0.000
Tb 0.500 0.500 0.500
Zn 0.750 0.750 0.750
In 0.250 0.250 0.250

Most intense lines, 5 to 70 degrees two-theta, by intensity:
- 32.0°, rel. 1000
- 57.1°, rel. 377
- 45.9°, rel. 182
- 67.0°, rel. 116
- 22.5°, rel. 53
- 19.4°, rel. 27
- 51.7°, rel. 24
- 39.5°, rel. 17
- 37.7°, rel. 15
- 50.3°, rel. 7